[1]
Theoretical XRD peak list
Compound: CaScTl
Radiation: λ = 1.5418 Å (Cu Kα)
Structure: the GGA-PBE geometry in Alexandria
Neutral-atom scattering factors, no anomalous dispersion.

Crystal structure
```
CaScTl
1.0
5.257 0.000 0.000
0.000 3.767 0.000
-2.592 0.000 8.309
Ca Sc Tl
2 2 2
Cartesian
0.022 0.000 2.957
2.643 0.000 5.352
0.000 1.884 0.000
2.629 0.000 0.000
0.018 1.884 5.971
2.647 1.884 2.338
```

Principal peaks in the range 2θ from 10° to 90°, in order of falling intensity:
two_theta, Rel. int.
33.44, 100
17.69, 39
34.11, 28
32.07, 24
21.39, 24
23.62, 21
29.67, 20
60.51, 19

[2]
Theoretical XRD peak list
Compound: SrCdAg2Ge
Radiation: λ = 1.5418 Å (Cu Kα)
Structure: the GGA-PBE geometry in Alexandria
Neutral-atom scattering factors, no anomalous dispersion.

Crystal structure
```
SrCdAg2Ge
1.0
-2.266 2.305 5.725
2.266 -2.305 5.725
2.266 2.305 -5.725
Sr Cd Ag Ge
1 1 2 1
Cartesian
0.000 0.000 0.000
2.266 0.000 2.908
0.000 0.000 7.014
0.000 2.305 3.092
0.000 0.000 4.447
```

Principal peaks in the range 2θ from 10° to 90°, in order of falling intensity:
two_theta, Rel. int.
31.80, 100
42.18, 37
39.08, 29
39.79, 28
30.63, 22
57.00, 19
44.16, 16
15.48, 13